No. 1
The following is a theoretical XRD peak list of DyHo6Zn. It was derived from a structure optimized by DFT (PBE), using Cu Kα, 1.54184 Å.
Neutral-atom scattering factors, no anomalous dispersion.

Structural model:
a = 6.217 Å, b = 6.217 Å, c = 6.217 Å
α = 95.44°, β = 95.44°, γ = 95.44°
Sites, in units of the cell vectors:
Dy 0.000 0.000 0.000
Ho 0.075 0.544 0.263
Ho 0.263 0.075 0.544
Ho 0.456 0.737 0.925
Ho 0.544 0.263 0.075
Ho 0.737 0.925 0.456
Ho 0.925 0.456 0.737
Zn 0.500 0.500 0.500

Most intense lines, 15 to 90 degrees two-theta, sorted by position:
2theta	intensity
27.6	28
31.1	100
33.9	23
35.1	76
48.2	19
52.6	25



No. 2
The following is a theoretical XRD peak list of Y2PaPbO8. It was derived from a structure optimized by DFT (PBE), using Cu Kα, 1.54184 Å.
Neutral-atom scattering factors, no anomalous dispersion.

Structural model:
a = 5.390 Å, b = 3.790 Å, c = 7.797 Å
α = 90.00°, β = 90.14°, γ = 90.00°
Sites, in units of the cell vectors:
Y 0.000 0.000 0.249
Y 0.000 0.000 0.751
Pa 0.500 0.500 0.000
Pb 0.500 0.500 0.500
O 0.254 0.000 0.500
O 0.258 0.500 0.757
O 0.259 0.000 0.000
O 0.259 0.500 0.244
O 0.741 0.000 0.000
O 0.741 0.500 0.756
O 0.742 0.500 0.243
O 0.746 0.000 0.500

Most intense lines, 15 to 90 degrees two-theta, sorted by position:
2theta	intensity
28.3	100
28.8	96
33.0	41
47.5	70
55.7	31
56.7	43



No. 3
The following is a theoretical XRD peak list of Ba2InIO6. It was derived from a structure optimized by DFT (PBE), using Cu Kα, 1.54184 Å.
Neutral-atom scattering factors, no anomalous dispersion.

Structural model:
a = 10.826 Å, b = 10.826 Å, c = 10.826 Å
α = 32.83°, β = 32.83°, γ = 32.83°
Sites, in units of the cell vectors:
Ba 0.127 0.127 0.127
Ba 0.279 0.279 0.279
Ba 0.721 0.721 0.721
Ba 0.873 0.873 0.873
In 0.406 0.406 0.406
In 0.594 0.594 0.594
I 0.000 0.000 0.000
I 0.500 0.500 0.500
O 0.141 0.615 0.615
O 0.197 0.197 0.728
O 0.197 0.728 0.197
O 0.272 0.803 0.803
O 0.385 0.385 0.859
O 0.385 0.859 0.385
O 0.615 0.141 0.615
O 0.615 0.615 0.141
O 0.728 0.197 0.197
O 0.803 0.272 0.803
O 0.803 0.803 0.272
O 0.859 0.385 0.385

Most intense lines, 15 to 90 degrees two-theta, sorted by position:
2theta	intensity
26.4	40
28.7	33
29.2	100
39.7	26
51.8	20
60.5	22



No. 4
The following is a theoretical XRD peak list of NpH6PdPt. It was derived from a structure optimized by DFT (PBE), using Cu Kα, 1.54184 Å.
Neutral-atom scattering factors, no anomalous dispersion.

Structural model:
a = 4.765 Å, b = 4.765 Å, c = 4.243 Å
α = 90.00°, β = 90.00°, γ = 120.00°
Sites, in units of the cell vectors:
Np 0.000 0.000 0.000
H 0.505 0.010 0.222
H 0.505 0.010 0.778
H 0.505 0.495 0.222
H 0.505 0.495 0.778
H 0.990 0.495 0.222
H 0.990 0.495 0.778
Pd 0.333 0.667 0.500
Pt 0.667 0.333 0.500

Most intense lines, 15 to 90 degrees two-theta, sorted by position:
2theta	intensity
30.2	100
37.8	52
42.6	12
49.1	27
58.2	30
63.5	25



No. 5
The following is a theoretical XRD peak list of MgMn4Pd5. It was derived from a structure optimized by DFT (PBE), using Cu Kα, 1.54184 Å.
Neutral-atom scattering factors, no anomalous dispersion.

Structural model:
a = 3.192 Å, b = 3.192 Å, c = 15.085 Å
α = 90.00°, β = 90.00°, γ = 90.00°
Sites, in units of the cell vectors:
Mg 0.000 0.000 0.000
Mn 0.000 0.000 0.201
Mn 0.000 0.000 0.401
Mn 0.000 0.000 0.599
Mn 0.000 0.000 0.799
Pd 0.500 0.500 0.104
Pd 0.500 0.500 0.301
Pd 0.500 0.500 0.500
Pd 0.500 0.500 0.699
Pd 0.500 0.500 0.896

Most intense lines, 15 to 90 degrees two-theta, sorted by position:
2theta	intensity
28.0	19
39.9	55
41.2	100
57.8	18
73.4	34
75.9	15



No. 6
The following is a theoretical XRD peak list of Ga4CuIr. It was derived from a structure optimized by DFT (PBE), using Cu Kα, 1.54184 Å.
Neutral-atom scattering factors, no anomalous dispersion.

Structural model:
a = 7.269 Å, b = 7.259 Å, c = 5.872 Å
α = 66.25°, β = 66.08°, γ = 47.67°
Sites, in units of the cell vectors:
Ga 0.000 0.499 0.753
Ga 0.000 0.501 0.247
Ga 0.247 0.751 0.000
Ga 0.249 0.753 0.499
Ga 0.499 0.000 0.249
Ga 0.501 0.000 0.751
Ga 0.751 0.247 0.501
Ga 0.753 0.249 0.000
Cu 0.125 0.125 0.125
Cu 0.875 0.875 0.875
Ir 0.375 0.375 0.375
Ir 0.625 0.625 0.625

Most intense lines, 15 to 90 degrees two-theta, sorted by position:
2theta	intensity
16.8	24
26.2	84
43.3	100
43.5	25
43.7	24
79.7	16



No. 7
The following is a theoretical XRD peak list of Ho8CdRu2. It was derived from a structure optimized by DFT (PBE), using Cu Kα, 1.54184 Å.
Neutral-atom scattering factors, no anomalous dispersion.

Structural model:
a = 9.006 Å, b = 9.006 Å, c = 9.006 Å
α = 146.02°, β = 57.45°, γ = 135.14°
Sites, in units of the cell vectors:
Ho 0.000 0.000 0.000
Ho 0.262 0.596 0.666
Ho 0.350 0.460 0.890
Ho 0.420 0.132 0.289
Ho 0.570 0.460 0.110
Ho 0.725 0.225 0.500
Ho 0.843 0.132 0.711
Ho 0.930 0.596 0.334
Cd 0.298 0.798 0.500
Ru 0.654 0.825 0.829
Ru 0.997 0.825 0.171

Most intense lines, 15 to 90 degrees two-theta, sorted by position:
2theta	intensity
31.2	100
31.6	56
33.1	32
34.1	82
35.6	77
61.9	32



No. 8
The following is a theoretical XRD peak list of CdGa6Br12. It was derived from a structure optimized by DFT (PBE), using Cu Kα, 1.54184 Å.
Neutral-atom scattering factors, no anomalous dispersion.

Structural model:
a = 7.270 Å, b = 8.717 Å, c = 11.827 Å
α = 97.02°, β = 90.44°, γ = 102.80°
Sites, in units of the cell vectors:
Cd 0.000 0.000 0.000
Ga 0.061 0.721 0.296
Ga 0.480 0.089 0.846
Ga 0.489 0.429 0.842
Ga 0.511 0.571 0.158
Ga 0.520 0.911 0.154
Ga 0.939 0.279 0.704
Br 0.022 0.700 0.092
Br 0.149 0.888 0.808
Br 0.220 0.514 0.322
Br 0.240 0.962 0.381
Br 0.249 0.345 0.634
Br 0.371 0.153 0.086
Br 0.629 0.847 0.914
Br 0.751 0.655 0.366
Br 0.760 0.038 0.619
Br 0.780 0.486 0.678
Br 0.851 0.112 0.192
Br 0.978 0.300 0.908

Most intense lines, 15 to 90 degrees two-theta, sorted by position:
2theta	intensity
17.3	61
25.5	100
26.0	68
26.5	61
31.6	97
32.6	61



No. 9
The following is a theoretical XRD peak list of Nd3HoBi4. It was derived from a structure optimized by DFT (PBE), using Cu Kα, 1.54184 Å.
Neutral-atom scattering factors, no anomalous dispersion.

Structural model:
a = 6.466 Å, b = 6.466 Å, c = 6.466 Å
α = 90.00°, β = 90.00°, γ = 90.00°
Sites, in units of the cell vectors:
Nd 0.000 0.000 0.500
Nd 0.000 0.500 0.000
Nd 0.500 0.000 0.000
Ho 0.500 0.500 0.500
Bi 0.000 0.000 0.000
Bi 0.000 0.500 0.500
Bi 0.500 0.000 0.500
Bi 0.500 0.500 0.000

Most intense lines, 15 to 90 degrees two-theta, sorted by position:
2theta	intensity
27.6	100
39.4	79
48.8	29
57.0	14
64.4	38
71.5	28



No. 10
The following is a theoretical XRD peak list of TbSmHo2. It was derived from a structure optimized by DFT (PBE), using Cu Kα, 1.54184 Å.
Neutral-atom scattering factors, no anomalous dispersion.

Structural model:
a = 8.457 Å, b = 3.633 Å, c = 8.461 Å
α = 90.00°, β = 95.68°, γ = 90.00°
Sites, in units of the cell vectors:
Tb 0.165 0.250 0.083
Tb 0.835 0.750 0.917
Sm 0.333 0.750 0.414
Sm 0.667 0.250 0.586
Ho 0.083 0.250 0.668
Ho 0.416 0.750 0.835
Ho 0.584 0.250 0.165
Ho 0.917 0.750 0.332

Most intense lines, 15 to 90 degrees two-theta, sorted by position:
2theta	intensity
28.4	24
31.5	24
32.6	100
42.9	16
56.8	21
60.6	15



No. 11
The following is a theoretical XRD peak list of US2Br2F2. It was derived from a structure optimized by DFT (PBE), using Cu Kα, 1.54184 Å.
Neutral-atom scattering factors, no anomalous dispersion.

Structural model:
a = 12.302 Å, b = 4.936 Å, c = 6.777 Å
α = 90.00°, β = 113.53°, γ = 90.00°
Sites, in units of the cell vectors:
U 0.000 0.000 0.000
U 0.500 0.500 0.000
S 0.068 0.000 0.639
S 0.432 0.500 0.361
S 0.568 0.500 0.639
S 0.932 0.000 0.361
Br 0.086 0.500 0.259
Br 0.414 0.000 0.741
Br 0.586 0.000 0.259
Br 0.914 0.500 0.741
F 0.178 0.000 0.092
F 0.322 0.500 0.908
F 0.678 0.500 0.092
F 0.822 0.000 0.908

Most intense lines, 15 to 90 degrees two-theta, sorted by position:
2theta	intensity
15.7	100
16.5	72
19.6	31
26.2	50
32.2	63
37.3	36



No. 12
The following is a theoretical XRD peak list of La3Al3Cd. It was derived from a structure optimized by DFT (PBE), using Cu Kα, 1.54184 Å.
Neutral-atom scattering factors, no anomalous dispersion.

Structural model:
a = 6.122 Å, b = 6.122 Å, c = 14.291 Å
α = 102.64°, β = 102.64°, γ = 46.82°
Sites, in units of the cell vectors:
La 0.063 0.063 0.384
La 0.078 0.078 0.905
La 0.259 0.259 0.196
La 0.741 0.741 0.804
La 0.922 0.922 0.095
La 0.937 0.937 0.616
Al 0.381 0.381 0.451
Al 0.387 0.387 0.943
Al 0.433 0.433 0.767
Al 0.567 0.567 0.233
Al 0.613 0.613 0.057
Al 0.619 0.619 0.549
Cd 0.234 0.234 0.612
Cd 0.766 0.766 0.388

Most intense lines, 15 to 90 degrees two-theta, sorted by position:
2theta	intensity
20.0	47
30.9	100
31.1	90
32.3	47
35.6	80
37.0	54



No. 13
The following is a theoretical XRD peak list of Na15TlHg4. It was derived from a structure optimized by DFT (PBE), using Cu Kα, 1.54184 Å.
Neutral-atom scattering factors, no anomalous dispersion.

Structural model:
a = 5.115 Å, b = 5.115 Å, c = 22.380 Å
α = 90.00°, β = 90.00°, γ = 90.00°
Sites, in units of the cell vectors:
Na 0.000 0.000 0.000
Na 0.000 0.000 0.200
Na 0.000 0.000 0.400
Na 0.000 0.000 0.600
Na 0.000 0.000 0.800
Na 0.000 0.500 0.101
Na 0.000 0.500 0.299
Na 0.000 0.500 0.500
Na 0.000 0.500 0.701
Na 0.000 0.500 0.899
Na 0.500 0.000 0.101
Na 0.500 0.000 0.299
Na 0.500 0.000 0.500
Na 0.500 0.000 0.701
Na 0.500 0.000 0.899
Tl 0.500 0.500 0.000
Hg 0.500 0.500 0.199
Hg 0.500 0.500 0.400
Hg 0.500 0.500 0.600
Hg 0.500 0.500 0.801

Most intense lines, 15 to 90 degrees two-theta, sorted by position:
2theta	intensity
17.3	86
24.6	38
26.5	65
31.8	100
35.1	39
44.5	33